Record 1
For PrHo2Zn2Si2, a cell relaxed with GGA-PBE gives the computed powder X-ray diffraction pattern in this record (Cu Kα (weighted mean of Kα1 and Kα2)).
Lines closer than 0.1° are merged.

Top 10 peaks for 2θ from 15° to 90°, in order of rising 2θ:
2θ (°)  intensity  hkl
25.3  39  1 0 1
27.3  32  1 0 4
31.3  63  1 0 7
33.0  100  0 1 8
36.8  19  1 0 10
40.0  17  0 0 15
44.3  61  1 1 0
56.3  22  2 0 8
61.2  29  1 1 15
74.3  19  1 2 8

```
data_PrHo2Zn2Si2
_cell_length_a 4.0937
_cell_length_b 4.0937
_cell_length_c 33.7745
_cell_angle_alpha 90.00
_cell_angle_beta 90.00
_cell_angle_gamma 120.00
_symmetry_space_group_name_H-M 'R -3 m'
_symmetry_Int_Tables_number 166
_symmetry_space_group_name_Hall '-R 3 2"'
loop_
_atom_site_label
_atom_site_fract_x
_atom_site_fract_y
_atom_site_fract_z
_atom_site_occupancy
Pr1 0.0000 0.0000 0.0000 1
Ho1 0.0000 0.0000 0.1233 1
Zn1 0.0000 0.0000 0.3971 1
Si1 0.0000 0.0000 0.2670 1
```

***

Record 2
For TbErTi2Fe22, a cell relaxed with GGA-PBE gives the computed powder X-ray diffraction pattern in this record (Cu Kα (weighted mean of Kα1 and Kα2)).
Lines closer than 0.1° are merged.

Top 10 peaks for 2θ from 15° to 90°, in order of rising 2θ:
2θ (°)  intensity  hkl
30.3  44  1 1 -3
37.1  30  3 1 -3
37.3  36  3 1 3
38.3  23  0 2 0
42.6  47  4 0 -4
42.9  71  4 0 4
43.1  73  1 1 5
43.1  41  5 1 1
44.1  100  2 2 -2
49.3  33  0 2 4

```
data_TbErTi2Fe22
_cell_length_a 11.963
_cell_length_b 4.702
_cell_length_c 11.978
_cell_angle_alpha 90.00
_cell_angle_beta 90.43
_cell_angle_gamma 90.00
_symmetry_space_group_name_H-M 'C 1 m 1'
_symmetry_Int_Tables_number 8
loop_
_symmetry_equiv_pos_as_xyz
'x,y,z'
'x,-y,z'
'x+1/2,y+1/2,z'
'x+1/2,-y+1/2,z'
loop_
_atom_site_label
_atom_site_fract_x
_atom_site_fract_y
_atom_site_fract_z
_atom_site_occupancy
Tb1 0.000 0.000 0.000 1
Er1 0.000 0.500 0.500 1
Ti1 0.312 0.000 0.687 1
Ti2 0.313 0.500 0.188 1
Fe1 0.104 0.000 0.610 1
Fe2 0.106 0.500 0.113 1
Fe3 0.113 0.000 0.387 1
Fe4 0.113 0.500 0.886 1
Fe5 0.174 0.000 0.825 1
Fe6 0.175 0.500 0.326 1
Fe7 0.175 0.500 0.680 1
Fe8 0.176 0.000 0.181 1
Fe9 0.247 0.250 0.002 1
Fe10 0.247 0.251 0.502 1
Fe11 0.319 0.500 0.824 1
Fe12 0.320 0.000 0.326 1
Fe13 0.384 0.000 0.117 1
Fe14 0.384 0.500 0.616 1
Fe15 0.387 0.000 0.893 1
Fe16 0.390 0.500 0.396 1
Fe17 0.498 0.250 0.752 1
Fe18 0.499 0.249 0.253 1
```

***

Record 3
For NaDy3Tm2Te6, a cell relaxed with GGA-PBE gives the computed powder X-ray diffraction pattern in this record (Cu Kα (weighted mean of Kα1 and Kα2)).
Lines closer than 0.1° are merged.

Top 10 peaks for 2θ from 15° to 90°, in order of rising 2θ:
2θ (°)  intensity  hkl
29.0  100  1 1 -2
41.2  13  2 0 -4
41.3  25  7 1 -2
41.5  25  5 1 2
41.7  13  0 2 0
51.0  7  8 0 -4
51.6  13  6 2 0
60.1  8  2 2 -4
67.9  11  8 2 -4
68.2  11  4 2 4

```
data_NaDy3Tm2Te6
_cell_length_a 19.030
_cell_length_b 4.335
_cell_length_c 8.759
_cell_angle_alpha 90.00
_cell_angle_beta 103.66
_cell_angle_gamma 90.00
_symmetry_space_group_name_H-M 'C 1 2/m 1'
_symmetry_Int_Tables_number 12
loop_
_symmetry_equiv_pos_as_xyz
'x,y,z'
'-x,-y,-z'
'-x,y,-z'
'x,-y,z'
'x+1/2,y+1/2,z'
'-x+1/2,-y+1/2,-z'
'-x+1/2,y+1/2,-z'
'x+1/2,-y+1/2,z'
loop_
_atom_site_label
_atom_site_fract_x
_atom_site_fract_y
_atom_site_fract_z
_atom_site_occupancy
Na1 0.000 0.000 0.000 1
Dy1 0.000 0.000 0.500 1
Dy2 0.162 0.500 0.822 1
Tm1 0.168 0.500 0.341 1
Te1 0.004 0.500 0.252 1
Te2 0.167 0.000 0.580 1
Te3 0.170 0.000 0.087 1
```